For Dy2PuNiO8, a crystal structure in Alexandria, relaxed with PBE+U gives the calculated X-ray powder pattern in this record (Cu Kα (weighted mean of Kα1 and Kα2)).
No peak broadening, texture or thermal motion is included.

Principal peaks in the range 2θ from 10° to 90°, most intense first:
| 2θ/deg | I_rel |
| --- | --- |
| 25.1 | 1000 |
| 32.7 | 777 |
| 28.0 | 772 |
| 29.4 | 770 |
| 31.8 | 514 |
| 23.7 | 404 |
| 12.6 | 311 |
| 35.9 | 310 |
| 48.7 | 274 |
| 52.6 | 239 |
| 44.5 | 236 |
| 26.9 | 208 |

Structural model:
```
data_Dy2PuNiO8
_chemical_formula_sum 'Dy2 Pu1 Ni1 O8'
_cell_length_a 4.5527
_cell_length_b 5.0668
_cell_length_c 7.0862
_cell_angle_alpha 83.31
_cell_angle_beta 87.54
_cell_angle_gamma 83.61
_symmetry_space_group_name_H-M 'P 1'
_symmetry_Int_Tables_number 1
loop_
_symmetry_equiv_pos_as_xyz
'x,y,z'
loop_
_atom_site_label
_atom_site_type_symbol
_atom_site_fract_x
_atom_site_fract_y
_atom_site_fract_z
Dy1 Dy 0.0830 0.0161 0.2354
Dy2 Dy 0.9170 0.9839 0.7646
Pu1 Pu 0.5000 0.5000 0.5000
Ni1 Ni 0.5000 0.5000 0.0000
O1 O 0.1338 0.7406 0.5230
O2 O 0.2100 0.7820 0.9920
O3 O 0.3529 0.3624 0.2395
O4 O 0.3743 0.2129 0.6763
O5 O 0.6257 0.7871 0.3237
O6 O 0.6471 0.6376 0.7605
O7 O 0.7900 0.2180 0.0080
O8 O 0.8662 0.2594 0.4770
```

***

For SrDyNi4O12, a crystal structure in Alexandria, relaxed with PBE+U gives the calculated X-ray powder pattern in this record (Cu Kα (weighted mean of Kα1 and Kα2)).
No peak broadening, texture or thermal motion is included.

Principal peaks in the range 2θ from 10° to 90°, most intense first:
| 2θ/deg | I_rel |
| --- | --- |
| 33.4 | 1000 |
| 20.3 | 742 |
| 39.4 | 393 |
| 59.7 | 390 |
| 47.9 | 279 |
| 52.6 | 175 |
| 70.1 | 154 |
| 48.0 | 141 |
| 63.7 | 102 |
| 79.9 | 81 |
| 11.6 | 81 |
| 70.2 | 79 |

Structural model:
```
data_SrDyNi4O12
_chemical_formula_sum 'Sr1 Dy1 Ni4 O12'
_cell_length_a 5.3624
_cell_length_b 5.3624
_cell_length_c 7.5986
_cell_angle_alpha 90.00
_cell_angle_beta 90.00
_cell_angle_gamma 90.09
_symmetry_space_group_name_H-M 'P 1'
_symmetry_Int_Tables_number 1
loop_
_symmetry_equiv_pos_as_xyz
'x,y,z'
loop_
_atom_site_label
_atom_site_type_symbol
_atom_site_fract_x
_atom_site_fract_y
_atom_site_fract_z
Sr1 Sr 0.0000 0.0000 0.0000
Dy1 Dy 0.5000 0.5000 0.5000
Ni1 Ni 0.0000 0.5000 0.2500
Ni2 Ni 0.0000 0.5000 0.7500
Ni3 Ni 0.5000 0.0000 0.2500
Ni4 Ni 0.5000 0.0000 0.7500
O1 O 0.0000 0.5000 0.0000
O2 O 0.0000 0.5000 0.5000
O3 O 0.2627 0.2627 0.2699
O4 O 0.2627 0.2627 0.7301
O5 O 0.2645 0.7355 0.2701
O6 O 0.2645 0.7355 0.7299
O7 O 0.5000 0.0000 0.0000
O8 O 0.5000 0.0000 0.5000
O9 O 0.7355 0.2645 0.2701
O10 O 0.7355 0.2645 0.7299
O11 O 0.7373 0.7373 0.2699
O12 O 0.7373 0.7373 0.7301
```

***

For DyV2NiO8, a crystal structure in Alexandria, relaxed with PBE+U gives the calculated X-ray powder pattern in this record (Cu Kα (weighted mean of Kα1 and Kα2)).
No peak broadening, texture or thermal motion is included.

Principal peaks in the range 2θ from 10° to 90°, most intense first:
| 2θ/deg | I_rel |
| --- | --- |
| 17.8 | 1000 |
| 31.1 | 872 |
| 23.4 | 782 |
| 35.6 | 589 |
| 47.9 | 386 |
| 44.1 | 324 |
| 58.2 | 305 |
| 50.9 | 193 |
| 39.3 | 189 |
| 64.7 | 170 |
| 55.2 | 161 |
| 66.6 | 153 |

Structural model:
```
data_DyV2NiO8
_chemical_formula_sum 'Dy1 V2 Ni1 O8'
_cell_length_a 5.7596
_cell_length_b 5.7596
_cell_length_c 5.8518
_cell_angle_alpha 90.00
_cell_angle_beta 90.00
_cell_angle_gamma 120.00
_symmetry_space_group_name_H-M 'P 1'
_symmetry_Int_Tables_number 1
loop_
_symmetry_equiv_pos_as_xyz
'x,y,z'
loop_
_atom_site_label
_atom_site_type_symbol
_atom_site_fract_x
_atom_site_fract_y
_atom_site_fract_z
Dy1 Dy 0.0000 0.0000 0.0000
V1 V 0.3333 0.6667 0.6408
V2 V 0.6667 0.3333 0.3592
Ni1 Ni 0.0000 0.0000 0.5000
O1 O 0.1615 0.3230 0.7277
O2 O 0.1615 0.8385 0.7277
O3 O 0.3230 0.1615 0.2723
O4 O 0.3333 0.6667 0.3593
O5 O 0.6667 0.3333 0.6407
O6 O 0.6770 0.8385 0.7277
O7 O 0.8385 0.1615 0.2723
O8 O 0.8385 0.6770 0.2723
```